Structure and simulated powder XRD pattern of CaCr2O4 (a crystal structure in the Materials Project, relaxed with PBE+U; a wavelength of 1.5418 Å).
Kinematic intensities with the Lorentz-polarization factor, no thermal factor.

Largest 10 diffraction maxima, in order of falling intensity, 10° ≤ 2θ ≤ 90°:
hkl 2 0 1, d 2.661, rel. 100; hkl 2 0 4, d 2.208, rel. 41; hkl 2 1 5, d 1.699, rel. 40; hkl 1 0 5, d 2.671, rel. 34; hkl 2 2 0, d 1.558, rel. 34; hkl 0 2 8, d 1.565, rel. 32; hkl 0 1 1, d 5.092, rel. 25; hkl 0 1 4, d 3.130, rel. 20; hkl 1 1 0, d 3.116, rel. 17; hkl 0 0 3, d 5.122, rel. 16

Atomic structure:
Cell lengths 6.2319, 6.2319, 15.3660 Å; angles 90.00, 90.00, 120.00 degrees
Space group P3m1 (No. 156)
Inequivalent atoms, fractional coordinates:
Ca (0.0000, 0.0000, 0.0000)
Ca (0.0000, 0.0000, 0.2429)
Ca (0.3333, 0.6667, 0.5772)
Ca (0.6667, 0.3333, 0.2848)
Ca (0.6667, 0.3333, 0.6619)
Ca (0.6667, 0.3333, 0.9108)
Cr (0.0000, 0.0000, 0.6243)
Cr (0.1671, 0.3342, 0.7882)
Cr (0.3253, 0.1626, 0.4573)
Cr (0.3333, 0.6667, 0.3348)
Cr (0.3333, 0.6667, 0.9537)
Cr (0.5004, 0.0008, 0.1177)
O (0.0000, 0.0000, 0.3917)
O (0.0000, 0.0000, 0.8534)
O (0.0013, 0.5007, 0.3854)
O (0.0496, 0.5248, 0.8636)
O (0.1402, 0.2803, 0.5338)
O (0.1938, 0.3875, 0.0418)
O (0.2847, 0.1424, 0.7106)
O (0.3333, 0.6667, 0.1994)
O (0.3333, 0.6667, 0.7215)
O (0.3632, 0.1816, 0.1846)
O (0.6667, 0.3333, 0.0523)
O (0.6667, 0.3333, 0.5162)

***

Structure and simulated powder XRD pattern of CaCr2O4 (a crystal structure in the Materials Project, relaxed with PBE+U; a wavelength of 1.5418 Å).
Kinematic intensities with the Lorentz-polarization factor, no thermal factor.

Largest 10 diffraction maxima, in order of falling intensity, 10° ≤ 2θ ≤ 90°:
hkl 3 1 1, d 2.661, rel. 100; hkl 4 4 0, d 1.560, rel. 50; hkl 5 1 1, d 1.698, rel. 44; hkl 1 1 1, d 5.095, rel. 37; hkl 4 0 0, d 2.206, rel. 34; hkl 2 2 0, d 3.120, rel. 26; hkl 5 5 3, d 1.149, rel. 15; hkl 5 3 3, d 1.346, rel. 11; hkl 2 2 2, d 2.547, rel. 10; hkl 4 2 2, d 1.801, rel. 7

Atomic structure:
Cell lengths 8.824, 8.824, 8.824 Å; angles 90.00, 90.00, 90.00 degrees
Space group Fd-3m (No. 227, origin choice 2)
Inequivalent atoms, fractional coordinates:
Ca (0.125, 0.125, 0.125)
Cr (0.000, 0.000, 0.500)
O (0.019, 0.019, 0.731)